Diffraction record for La3DyY7. The PXRD pattern is computed, not measured: it uses the PBE geometry in Alexandria and Cu Kα, 1.54184 Å.
Kinematic intensities with the Lorentz-polarization factor, no thermal factor.

Main lines, low angle first (15° ≤ 2θ ≤ 90°):
30.48 deg, rel. 33, (0 0 3); 30.60 deg, rel. 100, (0 2 1); 35.44 deg, rel. 67, (2 0 2); 50.91 deg, rel. 23, (0 2 4); 51.08 deg, rel. 23, (2 2 0); 60.68 deg, rel. 41, (4 0 1)

Crystal structure
```
data_La3DyY7
_chemical_formula_sum 'La3 Dy1 Y7'
_symmetry_space_group_name_H-M 'P 1'
_symmetry_Int_Tables_number 1
_cell_length_a 7.153
_cell_length_b 7.153
_cell_length_c 8.800
_cell_angle_alpha 90.00
_cell_angle_beta 90.00
_cell_angle_gamma 120.00
loop_
_symmetry_equiv_pos_as_xyz
'x,y,z'
loop_
_atom_site_label
_atom_site_fract_x
_atom_site_fract_y
_atom_site_fract_z
La1 0.167 0.334 0.000
La2 0.167 0.833 0.000
La3 0.666 0.833 0.000
Dy1 0.333 0.667 0.339
Y1 0.000 0.000 0.660
Y2 0.002 0.501 0.660
Y3 0.332 0.166 0.338
Y4 0.499 0.501 0.660
Y5 0.499 0.998 0.660
Y6 0.834 0.166 0.338
Y7 0.834 0.668 0.338
```